# Li2CrS2O6
Computed powder diffractogram, a wavelength of 1.5418 Å. Input: DFT lattice parameters and positions (PBE+U).
Kinematic intensities with the Lorentz-polarization factor, no thermal factor.

Most intense lines, 15 to 90 degrees two-theta, low angle first:
d [Å]  2theta  intensity  h k l
5.633  15.7  86.2  0 0 1
3.518  25.3  100.0  1 0 1
2.600  34.5  32.3  1 1 0
2.388  37.7  49.5  1 0 2
2.361  38.1  74.4  2 -1 1
1.759  52.0  21.5  0 2 2

```
data_Li2CrS2O6
_space_group_name_H-M_alt 'P -3'
_space_group_IT_number 147
_cell_length_a 5.2000
_cell_length_b 5.2000
_cell_length_c 5.6335
_cell_angle_alpha 90.00
_cell_angle_beta 90.00
_cell_angle_gamma 120.00
loop_
_space_group_symop_operation_xyz
'x,y,z'
'-x,-y,-z'
'-y,x-y,z'
'y,-x+y,-z'
'-x+y,-x,z'
'x-y,x,-z'
loop_
_atom_site_label
_atom_site_type_symbol
_atom_site_fract_x
_atom_site_fract_y
_atom_site_fract_z
Li1 Li 0.3333 0.6667 0.3449
Cr1 Cr 0.0000 0.0000 0.0000
S1 S 0.3333 0.6667 0.8630
O1 O 0.0884 0.7152 0.7502
```